Structure and computed X-ray diffraction stick pattern of MgFe2Co4O8 (a cell relaxed with PBE+U; Cu Kα (weighted mean of Kα1 and Kα2)).
Neutral-atom scattering factors, no anomalous dispersion.

```
data_MgFe2Co4O8
_chemical_formula_sum 'Mg1 Fe2 Co4 O8'
_cell_length_a 5.846
_cell_length_b 5.847
_cell_length_c 5.952
_cell_angle_alpha 108.16
_cell_angle_beta 102.04
_cell_angle_gamma 118.06
_symmetry_space_group_name_H-M 'P 1'
_symmetry_Int_Tables_number 1
loop_
_symmetry_equiv_pos_as_xyz
'x,y,z'
loop_
_atom_site_label
_atom_site_fract_x
_atom_site_fract_y
_atom_site_fract_z
Mg1 0.000 0.000 0.000
Fe1 0.514 0.514 0.001
Fe2 0.766 0.265 0.501
Co1 0.094 0.943 0.525
Co2 0.257 0.759 0.999
Co3 0.418 0.568 0.476
Co4 0.760 0.259 0.002
O1 0.003 0.288 0.303
O2 0.065 0.260 0.797
O3 0.463 0.268 0.203
O4 0.516 0.234 0.699
O5 0.536 0.817 0.303
O6 0.556 0.809 0.854
O7 0.956 0.703 0.147
O8 0.985 0.700 0.698
```

The 10 most intense peaks (15° ≤ 2θ ≤ 90°), in order of rising 2θ:
2θ/deg  intensity  hkl
31.4  41  2 -1 0
32.4  25  1 -2 0
34.6  100  1 1 0
35.0  37  0 0 2
39.4  23  2 -1 1
41.9  17  -2 1 2
49.7  18  1 -3 2
51.7  22  1 -3 0
61.7  18  2 2 -2
62.5  30  1 1 -4


Structure and computed X-ray diffraction stick pattern of Ga13Fe11O32 (a cell relaxed with PBE+U; Cu Kα (weighted mean of Kα1 and Kα2)).
Neutral-atom scattering factors, no anomalous dispersion.

```
data_Ga13Fe11O32
_chemical_formula_sum 'Ga26 Fe22 O64'
_cell_length_a 10.376
_cell_length_b 5.854
_cell_length_c 20.197
_cell_angle_alpha 90.00
_cell_angle_beta 100.82
_cell_angle_gamma 90.00
_symmetry_space_group_name_H-M 'C 1 2/m 1'
_symmetry_Int_Tables_number 12
loop_
_symmetry_equiv_pos_as_xyz
'x,y,z'
'-x,-y,-z'
'-x,y,-z'
'x,-y,z'
'x+1/2,y+1/2,z'
'-x+1/2,-y+1/2,-z'
'-x+1/2,y+1/2,-z'
'x+1/2,-y+1/2,z'
loop_
_atom_site_label
_atom_site_fract_x
_atom_site_fract_y
_atom_site_fract_z
Ga1 0.000 0.000 0.000
Ga2 0.087 0.500 0.778
Ga3 0.089 0.000 0.282
Ga4 0.129 0.500 0.376
Ga5 0.159 0.500 0.973
Ga6 0.161 0.000 0.470
Ga7 0.248 0.000 0.749
Fe1 0.000 0.500 0.500
Fe2 0.120 0.261 0.621
Fe3 0.123 0.000 0.874
Fe4 0.125 0.243 0.126
O1 0.051 0.500 0.682
O2 0.058 0.238 0.939
O3 0.061 0.000 0.188
O4 0.066 0.261 0.435
O5 0.072 0.000 0.688
O6 0.073 0.500 0.190
O7 0.181 0.000 0.060
O8 0.186 0.500 0.563
O9 0.190 0.240 0.810
O10 0.190 0.500 0.066
O11 0.191 0.267 0.314
O12 0.192 0.000 0.565
```

The 10 most intense peaks (15° ≤ 2θ ≤ 90°), in order of rising 2θ:
2θ/deg  intensity  hkl
29.9  33  1 1 5
30.0  36  3 1 -1
34.8  57  1 1 -7
34.9  81  3 1 -5
35.4  62  3 1 3
35.7  100  0 2 4
42.8  46  4 0 4
57.1  31  3 3 -5
62.0  46  2 2 10
62.4  45  6 2 -2


Structure and computed X-ray diffraction stick pattern of LiAlCrO4 (a cell relaxed with PBE+U; Cu Kα (weighted mean of Kα1 and Kα2)).
Neutral-atom scattering factors, no anomalous dispersion.

```
data_LiAlCrO4
_chemical_formula_sum 'Li4 Al4 Cr4 O16'
_cell_length_a 9.299
_cell_length_b 2.882
_cell_length_c 10.215
_cell_angle_alpha 90.00
_cell_angle_beta 90.00
_cell_angle_gamma 90.00
_symmetry_space_group_name_H-M 'P n m a'
_symmetry_Int_Tables_number 62
loop_
_symmetry_equiv_pos_as_xyz
'x,y,z'
'-x,-y,-z'
'-x+1/2,-y,z+1/2'
'x+1/2,y,-z+1/2'
'x+1/2,-y+1/2,-z+1/2'
'-x+1/2,y+1/2,z+1/2'
'-x,y+1/2,-z'
'x,-y+1/2,z'
loop_
_atom_site_label
_atom_site_fract_x
_atom_site_fract_y
_atom_site_fract_z
Li1 0.100 0.250 0.119
Al1 0.008 0.250 0.624
Cr1 0.230 0.750 0.842
O1 0.101 0.250 0.458
O2 0.106 0.750 0.699
O3 0.138 0.250 0.929
O4 0.147 0.750 0.254
```

The 10 most intense peaks (15° ≤ 2θ ≤ 90°), in order of rising 2θ:
2θ/deg  intensity  hkl
17.4  16  0 0 2
19.8  100  1 0 2
30.1  15  3 0 1
33.8  20  3 0 2
37.8  31  2 1 1
40.9  31  2 1 2
46.1  16  3 0 4
50.9  22  3 1 3
58.9  18  2 1 5
62.1  13  5 1 2


Structure and computed X-ray diffraction stick pattern of Fe2HgO4 (a cell relaxed with PBE+U; Cu Kα (weighted mean of Kα1 and Kα2)).
Neutral-atom scattering factors, no anomalous dispersion.

```
data_Fe2HgO4
_chemical_formula_sum 'Fe16 Hg8 O32'
_cell_length_a 8.896
_cell_length_b 8.907
_cell_length_c 8.945
_cell_angle_alpha 90.00
_cell_angle_beta 90.00
_cell_angle_gamma 90.00
_symmetry_space_group_name_H-M 'F d d d'
_symmetry_Int_Tables_number 70
loop_
_symmetry_equiv_pos_as_xyz
'x,y,z'
'-x,-y,-z'
'-x+1/4,-y+1/4,z'
'x+1/4,y+1/4,-z'
'x,-y+1/4,-z+1/4'
'-x,y+1/4,z+1/4'
'-x+1/4,y,-z+1/4'
'x+1/4,-y,z+1/4'
'x,y+1/2,z+1/2'
'-x,-y+1/2,-z+1/2'
'-x+1/4,-y+3/4,z+1/2'
'x+1/4,y+3/4,-z+1/2'
'x,-y+3/4,-z+3/4'
'-x,y+3/4,z+3/4'
'-x+1/4,y+1/2,-z+3/4'
'x+1/4,-y+1/2,z+3/4'
'x+1/2,y,z+1/2'
'-x+1/2,-y,-z+1/2'
'-x+3/4,-y+1/4,z+1/2'
'x+3/4,y+1/4,-z+1/2'
'x+1/2,-y+1/4,-z+3/4'
'-x+1/2,y+1/4,z+3/4'
'-x+3/4,y,-z+3/4'
'x+3/4,-y,z+3/4'
'x+1/2,y+1/2,z'
'-x+1/2,-y+1/2,-z'
'-x+3/4,-y+3/4,z'
'x+3/4,y+3/4,-z'
'x+1/2,-y+3/4,-z+1/4'
'-x+1/2,y+3/4,z+1/4'
'-x+3/4,y+1/2,-z+1/4'
'x+3/4,-y+1/2,z+1/4'
loop_
_atom_site_label
_atom_site_fract_x
_atom_site_fract_y
_atom_site_fract_z
Fe1 0.000 0.000 0.000
Hg1 0.125 0.125 0.625
O1 0.020 0.020 0.230
```

The 10 most intense peaks (15° ≤ 2θ ≤ 90°), in order of rising 2θ:
2θ/deg  intensity  hkl
17.2  21  1 1 1
28.3  100  2 2 0
33.2  41  1 1 3
33.4  81  3 1 1
50.0  13  2 2 4
50.2  26  4 2 2
53.2  14  1 1 5
53.4  22  1 5 1
53.5  13  5 1 1
58.5  27  4 0 4


Structure and computed X-ray diffraction stick pattern of LiVO2 (a cell relaxed with PBE+U; Cu Kα (weighted mean of Kα1 and Kα2)).
Neutral-atom scattering factors, no anomalous dispersion.

```
data_LiVO2
_chemical_formula_sum 'Li8 V8 O16'
_cell_length_a 20.813
_cell_length_b 2.953
_cell_length_c 5.163
_cell_angle_alpha 90.00
_cell_angle_beta 104.33
_cell_angle_gamma 90.00
_symmetry_space_group_name_H-M 'C 1 m 1'
_symmetry_Int_Tables_number 8
loop_
_symmetry_equiv_pos_as_xyz
'x,y,z'
'x,-y,z'
'x+1/2,y+1/2,z'
'x+1/2,-y+1/2,z'
loop_
_atom_site_label
_atom_site_fract_x
_atom_site_fract_y
_atom_site_fract_z
Li1 0.000 0.000 0.000
Li2 0.000 0.500 0.499
Li3 0.250 0.000 0.583
Li4 0.250 0.500 0.083
V1 0.130 0.000 0.130
V2 0.130 0.500 0.630
V3 0.380 0.000 0.714
V4 0.380 0.500 0.214
O1 0.073 0.000 0.412
O2 0.074 0.500 0.912
O3 0.187 0.000 0.850
O4 0.187 0.500 0.350
O5 0.323 0.000 0.319
O6 0.324 0.500 0.820
O7 0.437 0.000 0.108
O8 0.437 0.500 0.608
```

The 10 most intense peaks (15° ≤ 2θ ≤ 90°), in order of rising 2θ:
2θ/deg  intensity  hkl
17.6  100  4 0 0
35.9  14  4 0 -2
36.2  25  3 1 -1
39.2  10  6 0 -2
39.4  19  5 1 -1
44.2  18  4 0 2
44.4  38  5 1 1
50.8  11  7 1 1
58.2  16  11 1 -1
62.5  15  3 1 -3